1.
Structure and computed powder X-ray diffraction pattern of Bi2Pt (a crystal structure in the Materials Project, relaxed with PBE; Cu Ka).

Structure:
Unit cell a=6.6511 b=6.6511 c=6.3212 alpha=90.00 beta=90.00 gamma=120.00
Space group P31m (No. 157)
One atom of each set of equivalent atoms:
Bi 0.0000 0.0000 0.0000 [1 per cell]
Bi 0.0000 0.6095 0.3912 [3 per cell]
Bi 0.3333 0.6667 0.8735 [2 per cell]
Pt 0.0000 0.2628 0.6607 [3 per cell]

Principal peaks in the range 2θ = 10–80°, most intense first:
30.37°, I = 100, hkl 1 1 1; 39.33°, I = 39, hkl 2 -1 2; 47.35°, I = 21, hkl 3 0 0; 14.01°, I = 20, hkl 0 0 1; 32.31°, I = 16, hkl 1 0 2; 43.99°, I = 16, hkl 3 -1 1; 34.21°, I = 15, hkl 2 0 1; 41.48°, I = 14, hkl 2 1 0

***

2.
Structure and computed powder X-ray diffraction pattern of Bi2Pt (a crystal structure in the Materials Project, relaxed with PBE; Cu Ka).

Structure:
Unit cell a=6.7102 b=4.1968 c=5.9270 alpha=90.00 beta=91.84 gamma=90.00
Space group C2/m (No. 12)
One atom of each set of equivalent atoms:
Bi 0.1605 0.0000 0.2625 [4 per cell]
Pt 0.0000 0.5000 0.0000 [2 per cell]

Principal peaks in the range 2θ = 10–80°, most intense first:
29.51°, I = 100, hkl 1 1 1; 30.20°, I = 58, hkl 2 0 -1; 46.00°, I = 36, hkl 3 1 0; 39.24°, I = 33, hkl 1 1 -2; 53.53°, I = 27, hkl 2 2 -1; 39.94°, I = 25, hkl 1 1 2; 43.11°, I = 22, hkl 0 2 0; 14.95°, I = 20, hkl 0 0 1

***

3.
Structure and computed powder X-ray diffraction pattern of BiPt (a crystal structure in the Materials Project, relaxed with PBE; Cu Ka).

Structure:
Unit cell a=4.4151 b=4.4151 c=5.5904 alpha=90.00 beta=90.00 gamma=120.00
Space group P6_3/mmc (No. 194)
One atom of each set of equivalent atoms:
Bi 0.3333 0.6667 0.2500 [2 per cell]
Pt 0.0000 0.0000 0.0000 [2 per cell]

Principal peaks in the range 2θ = 10–80°, most intense first:
39.95°, I = 100, hkl 1 0 2; 28.28°, I = 91, hkl 1 0 1; 40.88°, I = 86, hkl 1 1 0; 73.81°, I = 34, hkl 2 1 2; 58.49°, I = 33, hkl 2 0 2; 66.89°, I = 24, hkl 0 0 4; 50.45°, I = 19, hkl 2 0 1; 23.26°, I = 18, hkl 1 0 0